(1)
SmB2Pt10: computed powder X-ray diffraction pattern (Cu Kα (λ = 1.5418 Å)), based on a crystal structure in Alexandria, relaxed with PBE.
Lines closer than 0.1° are merged.

Top 8 peaks for 15 to 90 degrees two-theta, most intense first:
hkl 0 4 4, 41.61 deg, I = 100.0
hkl 2 4 0, 47.87 deg, I = 96.0
hkl 0 4 2, 35.34 deg, I = 86.5
hkl 0 0 6, 37.22 deg, I = 71.2
hkl 1 1 5, 36.23 deg, I = 70.4
hkl 2 0 0, 33.63 deg, I = 63.1
hkl 2 0 4, 42.09 deg, I = 62.7
hkl 2 4 6, 62.14 deg, I = 48.6

Structure:
a b c (Å): 5.329 10.844 14.495
angles (deg): 90.00 90.00 90.00
Space group Fmmm (No. 69)
Unique sites:
Sm 0.000 0.000 0.000 [4 per cell]
B 0.250 0.000 0.250 [8 per cell]
Pt 0.000 0.126 0.364 [16 per cell]
Pt 0.000 0.129 0.175 [16 per cell]
Pt 0.250 0.250 0.000 [8 per cell]

***

(2)
Sn3B2Pt9: computed powder X-ray diffraction pattern (Cu Kα (λ = 1.5418 Å)), based on a crystal structure in Alexandria, relaxed with PBE.
Lines closer than 0.1° are merged.

Top 8 peaks for 15 to 90 degrees two-theta, most intense first:
hkl 0 0 6, 29.90 deg, I = 100.0
hkl 2 0 3, 40.57 deg, I = 99.0
hkl 2 0 2, 38.91 deg, I = 92.3
hkl 2 0 4, 42.80 deg, I = 59.4
hkl 2 2 6, 75.79 deg, I = 44.2
hkl 2 2 0, 67.75 deg, I = 36.1
hkl 2 0 8, 56.21 deg, I = 31.4
hkl 2 0 1, 37.89 deg, I = 27.6

Structure:
a b c (Å): 5.5325 5.5325 17.9277
angles (deg): 90.00 90.00 120.00
Space group P6_3/mmc (No. 194)
Unique sites:
Sn 0.0000 0.0000 0.2500 [2 per cell]
Sn 0.3333 0.6667 0.0522 [4 per cell]
B 0.3333 0.6667 0.6642 [4 per cell]
Pt 0.0010 0.5005 0.2500 [6 per cell]
Pt 0.1651 0.3303 0.5849 [12 per cell]

***

(3)
Y2SnBPt6: computed powder X-ray diffraction pattern (Cu Kα (λ = 1.5418 Å)), based on a crystal structure in Alexandria, relaxed with PBE.
Lines closer than 0.1° are merged.

Top 8 peaks for 15 to 90 degrees two-theta, most intense first:
hkl 2 2 2, 37.62 deg, I = 100.0
hkl 2 0 2, 40.56 deg, I = 83.4
hkl 0 2 2, 40.95 deg, I = 52.6
hkl 0 0 2, 26.60 deg, I = 51.1
hkl 0 2 0, 37.21 deg, I = 39.5
hkl 1 0 1, 19.96 deg, I = 31.4
hkl 1 1 3, 36.35 deg, I = 30.6
hkl 0 0 3, 40.37 deg, I = 28.2

Structure:
a b c (Å): 5.693 5.714 7.433
angles (deg): 68.50 67.58 60.12
Space group P-1 (No. 2)
Unique sites:
Y 0.214 0.240 0.336 [2 per cell]
Sn 0.500 0.500 0.500 [1 per cell]
B 0.000 0.000 0.000 [1 per cell]
Pt 0.235 0.694 0.831 [2 per cell]
Pt 0.244 0.213 0.802 [2 per cell]
Pt 0.264 0.788 0.195 [2 per cell]

***

(4)
SrB2Pt10: computed powder X-ray diffraction pattern (Cu Kα (λ = 1.5418 Å)), based on a crystal structure in Alexandria, relaxed with PBE.
Lines closer than 0.1° are merged.

Top 8 peaks for 15 to 90 degrees two-theta, most intense first:
hkl 2 4 0, 47.99 deg, I = 100.0
hkl 1 1 5, 35.67 deg, I = 82.4
hkl 0 4 4, 41.28 deg, I = 82.4
hkl 0 4 2, 35.27 deg, I = 75.3
hkl 2 0 4, 41.87 deg, I = 60.4
hkl 0 0 6, 36.38 deg, I = 60.1
hkl 2 0 0, 33.77 deg, I = 58.5
hkl 2 4 6, 61.67 deg, I = 57.3

Structure:
a b c (Å): 5.308 10.837 14.818
angles (deg): 90.00 90.00 90.00
Space group Fmmm (No. 69)
Unique sites:
Sr 0.000 0.000 0.000 [4 per cell]
B 0.250 0.000 0.250 [8 per cell]
Pt 0.000 0.129 0.181 [16 per cell]
Pt 0.000 0.130 0.366 [16 per cell]
Pt 0.250 0.250 0.000 [8 per cell]

***

(5)
TbB3Pt6: computed powder X-ray diffraction pattern (Cu Kα (λ = 1.5418 Å)), based on a crystal structure in Alexandria, relaxed with PBE.
Lines closer than 0.1° are merged.

Top 8 peaks for 15 to 90 degrees two-theta, most intense first:
hkl 0 0 2, 33.83 deg, I = 100.0
hkl 2 -2 0, 37.89 deg, I = 95.6
hkl 0 2 -1, 36.82 deg, I = 55.5
hkl 2 -1 0, 32.02 deg, I = 46.3
hkl 1 1 -2, 38.71 deg, I = 30.0
hkl 1 1 1, 43.30 deg, I = 28.3
hkl 2 -2 1, 38.44 deg, I = 27.1
hkl 1 -2 1, 32.38 deg, I = 26.7

Structure:
a b c (Å): 5.596 5.610 5.762
angles (deg): 109.40 91.01 119.45
Space group P1 (No. 1)
Unique sites:
Tb 0.000 0.000 0.000 [1 per cell]
B 0.124 0.233 0.507 [1 per cell]
B 0.349 0.731 0.137 [1 per cell]
B 0.699 0.409 0.152 [1 per cell]
Pt 0.092 0.567 0.384 [1 per cell]
Pt 0.463 0.945 0.861 [1 per cell]
Pt 0.473 0.179 0.385 [1 per cell]
Pt 0.475 0.454 0.868 [1 per cell]
Pt 0.713 0.812 0.401 [1 per cell]
Pt 0.957 0.407 0.814 [1 per cell]

***

(6)
BTePt3: computed powder X-ray diffraction pattern (Cu Kα (λ = 1.5418 Å)), based on a crystal structure in Alexandria, relaxed with PBE.
Lines closer than 0.1° are merged.

Top 8 peaks for 15 to 90 degrees two-theta, most intense first:
hkl 1 1 1, 35.90 deg, I = 100.0
hkl 2 0 0, 41.70 deg, I = 52.0
hkl 3 1 1, 72.34 deg, I = 39.9
hkl 2 2 0, 60.44 deg, I = 35.1
hkl 2 2 2, 76.11 deg, I = 12.0
hkl 1 0 0, 20.50 deg, I = 3.7
hkl 1 1 0, 29.15 deg, I = 1.8
hkl 2 1 0, 46.89 deg, I = 1.7

Structure:
a b c (Å): 4.332 4.332 4.332
angles (deg): 90.00 90.00 90.00
Space group Pm-3m (No. 221)
Unique sites:
B 0.000 0.000 0.000 [1 per cell]
Te 0.500 0.500 0.500 [1 per cell]
Pt 0.000 0.000 0.500 [3 per cell]

***

(7)
TlB3Pt9: computed powder X-ray diffraction pattern (Cu Kα (λ = 1.5418 Å)), based on a crystal structure in Alexandria, relaxed with PBE.
Lines closer than 0.1° are merged.

Top 8 peaks for 15 to 90 degrees two-theta, most intense first:
hkl 2 2 1, 35.40 deg, I = 100.0
hkl 4 2 -1, 42.05 deg, I = 41.1
hkl 6 0 1, 45.63 deg, I = 29.5
hkl 4 0 -1, 33.64 deg, I = 25.5
hkl 0 4 0, 50.22 deg, I = 23.7
hkl 6 0 0, 39.48 deg, I = 22.4
hkl 4 2 0, 36.04 deg, I = 19.7
hkl 2 2 -1, 35.17 deg, I = 17.8

Structure:
a b c (Å): 13.696 7.268 4.169
angles (deg): 90.00 90.80 90.00
Space group Cm (No. 8)
Unique sites:
Tl 0.000 0.000 0.000 [2 per cell]
B 0.037 0.500 0.491 [2 per cell]
B 0.271 0.205 0.473 [4 per cell]
Pt 0.127 0.290 0.283 [4 per cell]
Pt 0.188 0.000 0.667 [2 per cell]
Pt 0.290 0.500 0.473 [2 per cell]
Pt 0.308 0.244 0.982 [4 per cell]
Pt 0.440 0.240 0.494 [4 per cell]
Pt 0.480 0.000 0.977 [2 per cell]

***

(8)
PuB12: computed powder X-ray diffraction pattern (Cu Kα (λ = 1.5418 Å)), based on a crystal structure in Alexandria, relaxed with PBE.
Lines closer than 0.1° are merged.

Top 8 peaks for 15 to 90 degrees two-theta, most intense first:
hkl 1 1 1, 20.63 deg, I = 100.0
hkl 3 1 1, 40.10 deg, I = 88.3
hkl 2 0 0, 23.86 deg, I = 68.1
hkl 2 2 0, 34.00 deg, I = 45.4
hkl 3 3 1, 53.56 deg, I = 32.4
hkl 5 3 1, 75.41 deg, I = 28.6
hkl 2 2 2, 41.97 deg, I = 26.5
hkl 4 2 2, 60.85 deg, I = 26.2

Structure:
a b c (Å): 7.458 7.458 7.458
angles (deg): 90.00 90.00 90.00
Space group Fm-3m (No. 225)
Unique sites:
Pu 0.000 0.000 0.000 [4 per cell]
B 0.000 0.169 0.331 [48 per cell]